Theoretical powder diffraction line list
Compound: P2RuPb
Radiation: Cu Ka
Structure: a GGA-PBE-relaxed structure
Kinematic intensities with the Lorentz-polarization factor, no thermal factor.

Main lines, low angle first (2θ from 10° to 80°):
(2 0 -1), 24.60 deg, I 84
(0 0 2), 29.55 deg, I 38
(1 1 -1), 31.00 deg, I 52
(1 1 1), 33.35 deg, I 100
(1 1 -2), 39.60 deg, I 50
(3 1 0), 44.06 deg, I 54

Crystal structure
Cell lengths 7.8885, 3.4264, 6.1896 Å; angles 90.00, 102.36, 90.00 degrees
Fractional coordinates of all 8 atoms:
P 0.0000 0.0000 0.0000
P 0.1439 0.0000 0.7250
P 0.5000 0.5000 0.0000
P 0.6439 0.5000 0.7250
Ru 0.2037 0.5000 0.9985
Ru 0.7037 0.0000 0.9985
Pb 0.3618 0.0000 0.3933
Pb 0.8618 0.5000 0.3933